No. 1
Diffraction record for LiBS2. The PXRD pattern is simulated, not measured: it uses a crystal structure in Alexandria, relaxed with GGA-PBE and λ = 1.5418 Å (Cu Kα).
Peak positions follow from Bragg's law for the DFT cell and can differ from measured ones.

Most intense lines, 5° ≤ 2θ ≤ 70°, sorted by position:
d = 8.303 Å, 10.66 deg, I = 28
d = 4.151 Å, 21.40 deg, I = 22
d = 3.709 Å, 24.00 deg, I = 28
d = 3.647 Å, 24.41 deg, I = 83
d = 3.604 Å, 24.70 deg, I = 100
d = 3.392 Å, 26.27 deg, I = 27
d = 3.190 Å, 27.97 deg, I = 29
d = 2.951 Å, 30.29 deg, I = 35
d = 2.933 Å, 30.48 deg, I = 19
d = 1.884 Å, 48.31 deg, I = 18

Structural model:
```
data_LiBS2
_chemical_formula_sum 'Li4 B4 S8'
_cell_length_a 8.3868
_cell_length_b 4.1451
_cell_length_c 11.9241
_cell_angle_alpha 90.00
_cell_angle_beta 98.13
_cell_angle_gamma 90.00
_symmetry_space_group_name_H-M 'P 1 21/c 1'
_symmetry_Int_Tables_number 14
loop_
_symmetry_equiv_pos_as_xyz
'x,y,z'
'-x,-y,-z'
'-x,y+1/2,-z+1/2'
'x,-y+1/2,z+1/2'
loop_
_atom_site_label
_atom_site_fract_x
_atom_site_fract_y
_atom_site_fract_z
_atom_site_occupancy
Li1 0.1784 0.0130 0.4200 1
B1 0.2207 0.5804 0.2371 1
S1 0.1171 0.6898 0.1123 1
S2 0.3243 0.5095 0.3659 1
```

=====

No. 2
Diffraction record for Ba6PtPb2O. The PXRD pattern is simulated, not measured: it uses a crystal structure in Alexandria, relaxed with GGA-PBE and λ = 1.5418 Å (Cu Kα).
Peak positions follow from Bragg's law for the DFT cell and can differ from measured ones.

Most intense lines, 5° ≤ 2θ ≤ 70°, sorted by position:
d = 4.116 Å, 21.59 deg, I = 31
d = 3.511 Å, 25.37 deg, I = 12
d = 3.361 Å, 26.52 deg, I = 96
d = 2.911 Å, 30.72 deg, I = 100
d = 2.671 Å, 33.55 deg, I = 12
d = 2.377 Å, 37.86 deg, I = 14
d = 2.058 Å, 43.99 deg, I = 73
d = 1.755 Å, 52.11 deg, I = 43
d = 1.681 Å, 54.61 deg, I = 25
d = 1.455 Å, 63.97 deg, I = 12

Structural model:
```
data_Ba6PtPb2O
_chemical_formula_sum 'Ba12 Pt2 Pb4 O2'
_cell_length_a 8.2342
_cell_length_b 11.6413
_cell_length_c 8.2328
_cell_angle_alpha 90.00
_cell_angle_beta 90.00
_cell_angle_gamma 90.00
_symmetry_space_group_name_H-M 'P m m n'
_symmetry_Int_Tables_number 59
loop_
_symmetry_equiv_pos_as_xyz
'x,y,z'
'-x,-y,-z'
'-x+1/2,-y+1/2,z'
'x+1/2,y+1/2,-z'
'x+1/2,-y,-z'
'-x+1/2,y,z'
'-x,y+1/2,-z'
'x,-y+1/2,z'
loop_
_atom_site_label
_atom_site_fract_x
_atom_site_fract_y
_atom_site_fract_z
_atom_site_occupancy
Ba1 0.0121 0.2500 0.0138 1
Ba2 0.0131 0.2500 0.4889 1
Ba3 0.2500 0.0126 0.2504 1
Pt1 0.2500 0.7500 0.2492 1
Pb1 0.2500 0.0003 0.7498 1
O1 0.2500 0.2500 0.2507 1
```

=====

No. 3
Diffraction record for Ac3Sm2Cd2. The PXRD pattern is simulated, not measured: it uses a crystal structure in Alexandria, relaxed with GGA-PBE and λ = 1.5418 Å (Cu Kα).
Peak positions follow from Bragg's law for the DFT cell and can differ from measured ones.

Most intense lines, 5° ≤ 2θ ≤ 70°, sorted by position:
d = 3.040 Å, 29.38 deg, I = 90
d = 2.939 Å, 30.42 deg, I = 100
d = 2.776 Å, 32.25 deg, I = 41
d = 2.648 Å, 33.85 deg, I = 38
d = 2.386 Å, 37.70 deg, I = 20
d = 1.916 Å, 47.45 deg, I = 28
d = 1.773 Å, 51.55 deg, I = 16
d = 1.616 Å, 56.99 deg, I = 18
d = 1.582 Å, 58.32 deg, I = 32
d = 1.579 Å, 58.44 deg, I = 16

Structural model:
```
data_Ac3Sm2Cd2
_chemical_formula_sum 'Ac6 Sm4 Cd4'
_cell_length_a 5.2963
_cell_length_b 24.7257
_cell_length_c 3.7549
_cell_angle_alpha 90.00
_cell_angle_beta 90.00
_cell_angle_gamma 90.00
_symmetry_space_group_name_H-M 'C m m m'
_symmetry_Int_Tables_number 65
_symmetry_space_group_name_Hall '-C 2 2'
loop_
_atom_site_label
_atom_site_fract_x
_atom_site_fract_y
_atom_site_fract_z
_atom_site_occupancy
Ac1 0.0000 0.0000 0.0000 1
Ac2 0.0000 0.1467 0.0000 1
Sm1 0.0000 0.2863 0.5000 1
Cd1 0.0000 0.4272 0.5000 1
```